The following is a theoretical powder X-ray diffraction pattern of Ba2FeO4. It was derived from DFT lattice parameters and positions (PBE+U), using Cu Ka.
No peak broadening, texture or thermal motion is included.

Most intense lines, 10 to 90 degrees two-theta, by angle:
Position (°2θ)	d/Å	Rel. int.	hkl
24.4	3.651	14.3	1 1 1
26.0	3.427	24.0	1 1 -3
27.0	3.296	26.6	1 2 -1
28.1	3.179	38.8	1 2 0
28.5	3.136	17.5	0 1 3
28.6	3.117	100.0	2 0 -2
28.8	3.099	48.4	0 2 2
30.8	2.906	28.4	1 0 -4
34.9	2.569	16.4	0 2 3
35.8	2.510	18.9	0 3 1
40.0	2.255	16.1	2 2 0
51.4	1.779	13.3	1 3 3

Cell and atoms:
a b c (Å): 6.263 7.764 11.626
angles (deg): 90.00 117.81 90.00
Space group P2_1/c (No. 14)
Symmetry-distinct sites (fractional):
Ba  0.021  0.007  0.303 (multiplicity 4)
Ba  0.316  0.655  0.575 (multiplicity 4)
Fe  0.343  0.221  0.584 (multiplicity 4)
O  0.133  0.181  0.132 (multiplicity 4)
O  0.255  0.165  0.929 (multiplicity 4)
O  0.294  0.506  0.091 (multiplicity 4)
O  0.331  0.750  0.331 (multiplicity 4)